This entry pairs a crystal structure of CaCdW2O8 with its simulated powder diffraction line list. Radiation: a wavelength of 1.5418 Å. Structure: a structure optimized by DFT (PBE+U).
No peak broadening, texture or thermal motion is included.

Structure:
Cell lengths 5.3276, 5.3276, 11.3148 Å; angles 90.00, 90.00, 90.00 degrees
Space group I-4 (No. 82)
Unique sites:
Ca (0.0000, 0.0000, 0.0000)
Cd (0.0000, 0.5000, 0.2500)
W (0.0000, 0.0000, 0.5000)
W (0.0000, 0.5000, 0.7500)
O (0.1546, 0.7563, 0.4117)
O (0.1564, 0.2580, 0.8386)

Most intense lines, 2θ from 10° to 80°, by intensity:
two_theta  I_rel
28.47  100
46.85  30
57.04  28
18.41  28
33.64  22
54.41  16